Computed X-ray diffraction stick pattern
Compound: FeNi3Sn2P6O24
Radiation: Cu Kα (weighted mean of Kα1 and Kα2)
Structure: a DFT-relaxed cell (GGA+U, Alexandria)
No peak broadening, texture or thermal motion is included.

Cell and atoms:
Cell lengths 8.6901, 8.6901, 20.6376 Å; angles 90.00, 90.00, 120.00 degrees
Space group R3 (No. 146, hexagonal axes)
Unique sites:
Fe1 0.0000 0.0000 0.0000 (multiplicity 3)
Ni1 0.0000 0.0000 0.2964 (multiplicity 3)
Ni2 0.0000 0.0000 0.5028 (multiplicity 3)
Ni3 0.0000 0.0000 0.7960 (multiplicity 3)
Sn1 0.0000 0.0000 0.1503 (multiplicity 3)
Sn2 0.0000 0.0000 0.6500 (multiplicity 3)
P1 0.0004 0.7034 0.3991 (multiplicity 9)
P2 0.0376 0.3696 0.5653 (multiplicity 9)
O1 0.0008 0.8275 0.7223 (multiplicity 9)
O2 0.0050 0.1757 0.5780 (multiplicity 9)
O3 0.0103 0.8354 0.0756 (multiplicity 9)
O4 0.0123 0.8014 0.4609 (multiplicity 9)
O5 0.0129 0.2051 0.9598 (multiplicity 9)
O6 0.1343 0.6768 0.0044 (multiplicity 9)
O7 0.1399 0.4527 0.5042 (multiplicity 9)
O8 0.1661 0.4880 0.8887 (multiplicity 9)

Top 10 peaks for 5° ≤ 2θ ≤ 70°, most intense first:
| d [Å] | 2θ/deg | I/Imax | (hkl) |
| --- | --- | --- | --- |
| 4.345 | 20.4 | 100 | 1 1 0 |
| 2.697 | 33.2 | 81 | 1 1 6 |
| 3.674 | 24.2 | 54 | 2 -1 3 |
| 2.509 | 35.8 | 42 | 3 0 0 |
| 1.837 | 49.6 | 32 | 2 2 6 |
| 1.911 | 47.6 | 28 | 1 2 8 |
| 1.482 | 62.7 | 28 | 1 4 6 |
| 1.642 | 56.0 | 25 | 4 1 0 |
| 3.535 | 25.2 | 25 | 2 0 2 |
| 6.080 | 14.6 | 24 | 0 1 2 |